Structure and theoretical powder diffractogram of YHo3Mg8 (a crystal structure in Alexandria, relaxed with GGA-PBE; λ = 1.5418 Å (Cu Kα)).
Peak positions follow from Bragg's law for the DFT cell and can differ from measured ones.

Largest 10 diffraction maxima, sorted by position, 2θ = 10–90°:
2θ (°)	intensity	hkl
16.90	44.8	1 0 0
18.21	22.6	0 0 2
19.22	35.6	1 0 1
24.94	23.6	1 0 2
29.49	79.8	1 1 0
32.42	100.0	1 0 3
34.88	78.1	1 1 2
35.44	33.4	0 2 1
54.20	45.0	2 1 3
59.05	22.7	2 0 5

Atomic structure:
a = 6.0571 Å, b = 6.0571 Å, c = 9.7441 Å
α = 90.00°, β = 90.00°, γ = 120.00°
Positions (direct):
Y1 0.0000 0.0000 0.0000
Ho1 0.0000 0.0000 0.3720
Ho2 0.6667 0.3333 0.4993
Ho3 0.6667 0.3333 0.8699
Mg1 0.1626 0.3251 0.6853
Mg2 0.1626 0.8374 0.6853
Mg3 0.3333 0.6667 0.4355
Mg4 0.3333 0.6667 0.9353
Mg5 0.5043 0.0085 0.1855
Mg6 0.5043 0.4957 0.1855
Mg7 0.6749 0.8374 0.6853
Mg8 0.9915 0.4957 0.1855